# 1
The following is a simulated powder diffraction line list of CuIr3Rh6. It was derived from a cell relaxed with GGA-PBE, using copper Kα.

Top 12 peaks for 5 to 70 degrees two-theta, sorted by position:
- 10.57°, I = 11
- 20.01°, I = 16
- 26.57°, I = 59
- 35.02°, I = 43
- 35.95°, I = 21
- 40.33°, I = 17
- 40.66°, I = 38
- 43.25°, I = 35
- 47.20°, I = 100
- 49.80°, I = 14
- 62.33°, I = 16
- 65.69°, I = 12

Cell and atoms:
abc: 7.3241 16.7366 2.6918
angles: 90.00 90.00 90.00
Space group Cmmm (No. 65)
One atom of each set of equivalent atoms:
Cu 0.0000 0.0000 0.0000
Ir 0.0000 0.5000 0.0000
Ir 0.2500 0.2500 0.5000
Rh 0.0000 0.1389 0.5000
Rh 0.1946 0.3805 0.0000


# 2
The following is a simulated powder diffraction line list of Tb3Pm2In3. It was derived from a cell relaxed with GGA-PBE, using copper Kα.

Top 12 peaks for 5 to 70 degrees two-theta, sorted by position:
- 28.26°, I = 3
- 32.07°, I = 100
- 34.94°, I = 18
- 36.42°, I = 18
- 40.07°, I = 14
- 51.35°, I = 12
- 54.20°, I = 10
- 55.25°, I = 11
- 60.85°, I = 12
- 62.81°, I = 14
- 67.06°, I = 11
- 67.80°, I = 11

Cell and atoms:
abc: 4.5001 4.9344 20.5458
angles: 90.00 90.00 90.00
Space group Immm (No. 71)
One atom of each set of equivalent atoms:
Tb 0.0000 0.0000 0.0000
Tb 0.0000 0.5000 0.1177
Pm 0.0000 0.0000 0.2385
In 0.0000 0.0000 0.5000
In 0.0000 0.5000 0.3773


# 3
The following is a simulated powder diffraction line list of Pa2ZnAs2N2. It was derived from a cell relaxed with GGA-PBE, using copper Kα.

Top 12 peaks for 5 to 70 degrees two-theta, sorted by position:
- 16.86°, I = 21
- 19.02°, I = 17
- 25.84°, I = 17
- 26.39°, I = 40
- 30.36°, I = 28
- 31.80°, I = 100
- 32.95°, I = 50
- 37.03°, I = 88
- 39.24°, I = 17
- 46.91°, I = 23
- 54.57°, I = 23
- 58.50°, I = 26

Cell and atoms:
abc: 11.0085 3.8734 6.9447
angles: 90.00 122.03 90.00
Space group C2/m (No. 12)
One atom of each set of equivalent atoms:
Pa 0.1951 0.0000 0.2485
Zn 0.0000 0.0000 0.5000
As 0.0628 0.5000 0.8372
N 0.2066 0.0000 0.5861


# 4
The following is a simulated powder diffraction line list of NaLaTl6. It was derived from a cell relaxed with GGA-PBE, using copper Kα.

Top 12 peaks for 5 to 70 degrees two-theta, sorted by position:
- 18.22°, I = 6
- 25.72°, I = 5
- 31.71°, I = 100
- 36.47°, I = 17
- 36.88°, I = 17
- 36.98°, I = 17
- 52.87°, I = 24
- 53.22°, I = 12
- 62.67°, I = 15
- 63.22°, I = 14
- 63.36°, I = 14
- 66.24°, I = 12

Cell and atoms:
abc: 9.7227 9.7490 4.9278
angles: 90.00 90.00 90.00
Space group Cmmm (No. 65)
One atom of each set of equivalent atoms:
Na 0.0000 0.0000 0.0000
La 0.0000 0.5000 0.0000
Tl 0.0000 0.2489 0.5000
Tl 0.2485 0.0000 0.5000
Tl 0.2500 0.2500 0.0000


# 5
The following is a simulated powder diffraction line list of UZn11. It was derived from a cell relaxed with GGA-PBE, using copper Kα.

Top 12 peaks for 5 to 70 degrees two-theta, sorted by position:
- 22.89°, I = 13
- 28.57°, I = 26
- 33.34°, I = 40
- 37.59°, I = 100
- 38.25°, I = 58
- 40.23°, I = 27
- 45.04°, I = 21
- 46.76°, I = 17
- 48.42°, I = 13
- 57.67°, I = 19
- 59.15°, I = 12
- 68.71°, I = 27

Cell and atoms:
abc: 10.5242 10.5242 6.8834
angles: 90.00 90.00 90.00
Space group I4_1/amd (No. 141, origin choice 2)
One atom of each set of equivalent atoms:
U 0.0000 0.2500 0.3750
Zn 0.0000 0.0000 0.0000
Zn 0.0000 0.2500 0.8750
Zn 0.1210 0.0453 0.6744


# 6
The following is a simulated powder diffraction line list of SbS8. It was derived from a cell relaxed with GGA-PBE, using copper Kα.

Top 12 peaks for 5 to 70 degrees two-theta, sorted by position:
- 8.45°, I = 100
- 17.84°, I = 50
- 19.54°, I = 79
- 22.88°, I = 25
- 25.55°, I = 24
- 29.22°, I = 62
- 30.89°, I = 27
- 34.74°, I = 25
- 35.43°, I = 27
- 36.19°, I = 22
- 41.39°, I = 16
- 51.46°, I = 16

Cell and atoms:
abc: 8.5564 6.1132 10.4713
angles: 90.00 92.90 90.00
Space group C2/m (No. 12)
One atom of each set of equivalent atoms:
Sb 0.0000 0.0000 0.0000
S 0.0113 0.0000 0.7421
S 0.1164 0.5000 0.7326
S 0.1732 0.5000 0.9186
S 0.1794 0.0000 0.3754


# 7
The following is a simulated powder diffraction line list of Pu4Bi3H4. It was derived from a cell relaxed with GGA-PBE, using copper Kα.

Top 12 peaks for 5 to 70 degrees two-theta, sorted by position:
- 25.07°, I = 18
- 26.12°, I = 20
- 27.27°, I = 50
- 29.03°, I = 28
- 33.50°, I = 93
- 34.18°, I = 25
- 34.70°, I = 100
- 39.87°, I = 36
- 46.16°, I = 20
- 51.45°, I = 29
- 67.01°, I = 27
- 68.72°, I = 22

Cell and atoms:
abc: 4.5216 6.8243 14.2103
angles: 90.00 90.00 90.00
Space group Immm (No. 71)
One atom of each set of equivalent atoms:
Pu 0.0000 0.0000 0.2206
Pu 0.0000 0.2102 0.5000
Bi 0.0000 0.0000 0.0000
Bi 0.0000 0.5000 0.1264
H 0.0000 0.3036 0.3177


# 8
The following is a simulated powder diffraction line list of KTl6Hg4. It was derived from a cell relaxed with GGA-PBE, using copper Kα.

Top 12 peaks for 5 to 70 degrees two-theta, sorted by position:
- 11.26°, I = 44
- 26.67°, I = 14
- 29.03°, I = 79
- 30.08°, I = 31
- 35.25°, I = 100
- 36.35°, I = 33
- 38.91°, I = 17
- 39.73°, I = 26
- 47.88°, I = 17
- 54.94°, I = 20
- 61.95°, I = 30
- 64.69°, I = 18

Cell and atoms:
abc: 9.0750 9.0750 4.9429
angles: 90.00 90.00 120.00
Space group P-6m2 (No. 187)
One atom of each set of equivalent atoms:
K 0.0000 0.0000 0.0000
Tl 0.2010 0.4021 0.5000
Tl 0.5348 0.0696 0.0000
Hg 0.3333 0.6667 0.0000
Hg 0.3998 0.1999 0.5000


# 9
The following is a simulated powder diffraction line list of Nd4Ga16Ir3. It was derived from a cell relaxed with GGA-PBE, using copper Kα.

Top 12 peaks for 5 to 70 degrees two-theta, sorted by position:
- 20.15°, I = 22
- 21.62°, I = 38
- 28.65°, I = 16
- 31.08°, I = 57
- 32.76°, I = 13
- 37.32°, I = 100
- 39.53°, I = 20
- 40.96°, I = 89
- 43.01°, I = 40
- 52.30°, I = 24
- 58.24°, I = 23
- 59.32°, I = 28

Cell and atoms:
abc: 6.2314 6.2314 11.3993
angles: 90.00 90.00 90.00
Space group P4/mmm (No. 123)
One atom of each set of equivalent atoms:
Nd 0.0000 0.5000 0.1952
Ga 0.0000 0.0000 0.1960
Ga 0.2119 0.2119 0.0000
Ga 0.2521 0.2521 0.3828
Ga 0.5000 0.5000 0.2243
Ir 0.0000 0.5000 0.5000
Ir 0.5000 0.5000 0.0000